Calculated powder diffraction line list
Compound: Fe10OF19
Radiation: Cu Kα (λ = 1.5418 Å)
Structure: a DFT-relaxed cell (GGA+U, Alexandria)
Peak positions follow from Bragg's law for the DFT cell and can differ from measured ones.

Structural model:
```
data_Fe10OF19
_cell_length_a 4.8012
_cell_length_b 8.0939
_cell_length_c 10.1182
_cell_angle_alpha 72.55
_cell_angle_beta 89.95
_cell_angle_gamma 89.55
_space_group_name_H-M_alt 'P 1'
_space_group_IT_number 1
_space_group_name_Hall 'P 1'
loop_
_atom_site_label
_atom_site_fract_x
_atom_site_fract_y
_atom_site_fract_z
Fe1 0.0000 0.0000 0.0000
Fe2 0.0001 0.4093 0.7912
Fe3 0.0012 0.6021 0.1934
Fe4 0.0150 0.1900 0.3934
Fe5 0.0210 0.8148 0.5780
Fe6 0.4872 0.9052 0.3025
Fe7 0.4950 0.1018 0.6979
Fe8 0.5051 0.7043 0.8917
Fe9 0.5060 0.3020 0.0940
Fe10 0.5089 0.4991 0.4888
O1 0.1931 0.9577 0.4244
F1 0.1971 0.1647 0.8162
F2 0.2005 0.7611 0.0139
F3 0.2017 0.5780 0.6051
F4 0.2045 0.3619 0.2112
F5 0.2936 0.8561 0.7190
F6 0.2999 0.2619 0.5175
F7 0.3043 0.0592 0.1191
F8 0.3066 0.6591 0.3129
F9 0.3100 0.4672 0.9064
F10 0.6973 0.9417 0.8778
F11 0.7018 0.3448 0.6733
F12 0.7033 0.1397 0.2751
F13 0.7054 0.5479 0.0652
F14 0.7060 0.7412 0.4750
F15 0.7963 0.8397 0.1786
F16 0.7984 0.0273 0.5850
F17 0.8052 0.2466 0.9721
F18 0.8122 0.4279 0.3744
F19 0.8131 0.6595 0.7584
```

Peak list (10 most intense, 2θ = 5–70°, in order of falling intensity)
| (hkl) | 2theta | d/Å | Rel. int. |
| --- | --- | --- | --- |
| -1 1 2 | 26.33 | 3.385 | 100 |
| 1 1 2 | 26.24 | 3.396 | 100 |
| 0 1 -3 | 33.25 | 2.694 | 85 |
| 1 0 5 | 51.00 | 1.791 | 50 |
| 3 -2 1 | 65.07 | 1.433 | 36 |
| 2 3 1 | 50.77 | 1.798 | 34 |
| -1 4 3 | 51.14 | 1.786 | 33 |
| 1 2 -1 | 33.08 | 2.708 | 30 |
| 0 4 -2 | 56.39 | 1.632 | 22 |
| 1 3 1 | 38.18 | 2.357 | 22 |